Simulated PXRD pattern of PuCoPdO6 for Cu Kα, from a cell relaxed with PBE+U.
Intensities are scaled so that the largest is 100.

The 12 most intense peaks (10 to 90 degrees two-theta), in order of falling intensity:
28.10°, I = 100, hkl 1 0 2
35.11°, I = 53, hkl 1 1 0
22.33°, I = 52, hkl 1 0 1
53.91°, I = 49, hkl 1 1 4
45.56°, I = 27, hkl 2 0 2
58.79°, I = 25, hkl 2 1 2
40.46°, I = 23, hkl 1 1 2
19.48°, I = 23, hkl 0 0 2
35.85°, I = 18, hkl 1 0 3
62.99°, I = 18, hkl 3 0 0
42.01°, I = 13, hkl 2 0 1
87.52°, I = 12, hkl 4 -2 4

Structure:
a b c (Å): 5.112 5.112 9.114
angles (deg): 90.00 90.00 120.00
Fractional coordinates of all 18 atoms:
Pu: 0.333 0.667 0.250
Pu: 0.667 0.333 0.750
Co: 0.333 0.667 0.750
Co: 0.667 0.333 0.250
Pd: 0.000 0.000 0.000
Pd: 0.000 0.000 0.500
O: 0.018 0.355 0.631
O: 0.018 0.662 0.869
O: 0.338 0.355 0.869
O: 0.338 0.982 0.631
O: 0.355 0.018 0.131
O: 0.355 0.338 0.369
O: 0.645 0.662 0.631
O: 0.645 0.982 0.869
O: 0.662 0.018 0.369
O: 0.662 0.645 0.131
O: 0.982 0.338 0.131
O: 0.982 0.645 0.369